Calculated powder X-ray diffraction pattern
Compound: CeTh5Os6
Radiation: a wavelength of 1.5418 Å
Structure: a PBE-relaxed structure
Intensities are scaled so that the largest is 100.

Principal peaks in the range 10° ≤ 2θ ≤ 80°, low angle first:
- hkl 2 2 -1, 27.2 deg, I 14
- hkl 0 4 1, 31.2 deg, I 22
- hkl 1 3 1, 32.0 deg, I 100
- hkl 2 0 -2, 32.3 deg, I 53
- hkl 0 0 2, 33.5 deg, I 14
- hkl 1 5 0, 35.5 deg, I 16
- hkl 2 2 1, 39.0 deg, I 20
- hkl 0 6 0, 39.8 deg, I 32
- hkl 3 3 -1, 40.5 deg, I 81
- hkl 1 5 -2, 45.3 deg, I 23
- hkl 2 6 -2, 52.1 deg, I 17
- hkl 4 0 0, 53.0 deg, I 17

Cell and atoms:
a b c (Å): 7.675 13.600 5.932
angles (deg): 90.00 115.70 90.00
Space group C2/m (No. 12)
Asymmetric unit:
Ce 0.000 0.000 0.000 [2 per cell]
Th 0.000 0.140 0.500 [4 per cell]
Th 0.000 0.307 0.000 [4 per cell]
Th 0.000 0.500 0.500 [2 per cell]
Os 0.211 0.500 0.097 [4 per cell]
Os 0.217 0.326 0.666 [8 per cell]

Calculated powder X-ray diffraction pattern
Compound: SiRhC2
Radiation: a wavelength of 1.5418 Å
Structure: a PBE-relaxed structure
Intensities are scaled so that the largest is 100.

Principal peaks in the range 10° ≤ 2θ ≤ 80°, low angle first:
- hkl 0 0 1, 16.1 deg, I 100
- hkl 0 0 2, 32.4 deg, I 12
- hkl 0 1 1, 33.4 deg, I 52
- hkl 1 0 0, 34.2 deg, I 10
- hkl 1 0 1, 38.0 deg, I 34
- hkl 0 1 2, 44.1 deg, I 32
- hkl 1 1 0, 45.5 deg, I 28
- hkl 1 0 2, 47.9 deg, I 20
- hkl 1 1 1, 48.6 deg, I 29
- hkl 1 1 2, 57.0 deg, I 12
- hkl 1 0 3, 61.6 deg, I 9
- hkl 1 2 1, 73.5 deg, I 9

Cell and atoms:
a b c (Å): 2.619 3.071 5.519
angles (deg): 90.00 90.00 90.00
Space group Pmm2 (No. 25)
Asymmetric unit:
Si 0.000 0.000 0.000 [1 per cell]
Rh 0.500 0.500 0.759 [1 per cell]
C 0.000 0.000 0.344 [1 per cell]
C 0.500 0.000 0.461 [1 per cell]

Calculated powder X-ray diffraction pattern
Compound: PrBi2IO8
Radiation: a wavelength of 1.5418 Å
Structure: a PBE-relaxed structure
Intensities are scaled so that the largest is 100.

Principal peaks in the range 10° ≤ 2θ ≤ 80°, low angle first:
- hkl 0 2 0, 23.7 deg, I 56
- hkl 2 0 0, 24.0 deg, I 57
- hkl 1 1 2, 30.7 deg, I 100
- hkl 2 2 0, 34.0 deg, I 32
- hkl 1 3 2, 46.3 deg, I 38
- hkl 3 1 2, 46.7 deg, I 40
- hkl 0 4 0, 48.5 deg, I 10
- hkl 2 4 0, 54.8 deg, I 11
- hkl 2 0 4, 58.5 deg, I 10
- hkl 3 3 2, 58.8 deg, I 22
- hkl 2 2 4, 64.0 deg, I 12
- hkl 1 5 2, 69.3 deg, I 10

Cell and atoms:
a b c (Å): 7.407 7.509 6.973
angles (deg): 90.00 90.00 90.00
Space group Cmmm (No. 65)
Asymmetric unit:
Pr 0.000 0.000 0.000 [2 per cell]
Bi 0.000 0.500 0.254 [4 per cell]
I 0.000 0.000 0.500 [2 per cell]
O 0.000 0.250 0.500 [4 per cell]
O 0.000 0.317 0.000 [4 per cell]
O 0.177 0.000 0.293 [8 per cell]